# 1
Structure and computed XRD peak list of Si2Ni13Sb2O28 (a structure optimized by DFT (GGA+U); Cu Kα (weighted mean of Kα1 and Kα2)).
No peak broadening, texture or thermal motion is included.

Top 12 peaks for 2θ = 10–80°, sorted by position:
2theta  Rel. int.
10.57  46
16.36  47
21.24  77
32.09  100
32.88  49
33.02  63
33.64  55
35.55  56
36.11  53
36.44  52
38.14  76
58.96  39

Crystal structure
a = 5.507 Å, b = 8.508 Å, c = 11.137 Å
α = 86.66°, β = 76.72°, γ = 79.63°
Atoms (fractional coordinates):
1 Si 0.228 0.315 0.002
2 Si 0.772 0.685 0.998
3 Ni 0.000 0.000 0.000
4 Ni 0.070 0.365 0.304
5 Ni 0.209 0.643 0.147
6 Ni 0.282 0.001 0.430
7 Ni 0.348 0.647 0.857
8 Ni 0.366 0.375 0.699
9 Ni 0.430 0.996 0.148
10 Ni 0.570 0.004 0.852
11 Ni 0.634 0.625 0.301
12 Ni 0.652 0.353 0.143
13 Ni 0.718 0.999 0.570
14 Ni 0.791 0.357 0.853
15 Ni 0.930 0.635 0.696
16 Sb 0.142 0.008 0.707
17 Sb 0.858 0.992 0.293
18 O 0.010 0.880 0.428
19 O 0.025 0.405 0.703
20 O 0.070 0.645 0.000
21 O 0.127 0.881 0.155
22 O 0.144 0.126 0.296
23 O 0.273 0.602 0.703
24 O 0.273 0.886 0.845
25 O 0.281 0.423 0.417
26 O 0.285 0.383 0.129
27 O 0.308 0.120 0.000
28 O 0.314 0.576 0.411
29 O 0.410 0.389 0.879
30 O 0.417 0.894 0.571
31 O 0.424 0.139 0.706
32 O 0.576 0.861 0.294
33 O 0.583 0.106 0.429
34 O 0.590 0.611 0.121
35 O 0.686 0.424 0.589
36 O 0.692 0.880 0.000
37 O 0.715 0.617 0.871
38 O 0.719 0.577 0.583
39 O 0.727 0.114 0.155
40 O 0.727 0.398 0.297
41 O 0.856 0.874 0.704
42 O 0.873 0.119 0.845
43 O 0.930 0.355 0.000
44 O 0.975 0.595 0.297
45 O 0.990 0.120 0.572


# 2
Structure and computed XRD peak list of Zn3Ni4Sb2O12 (a structure optimized by DFT (GGA+U); Cu Kα (weighted mean of Kα1 and Kα2)).
No peak broadening, texture or thermal motion is included.

Top 12 peaks for 2θ = 10–80°, sorted by position:
2theta  Rel. int.
17.95  57
29.30  41
34.23  56
34.34  56
34.44  27
34.61  100
34.76  36
35.82  31
41.96  38
55.76  29
60.71  38
60.85  37

Crystal structure
a = 6.103 Å, b = 6.103 Å, c = 13.526 Å
α = 102.21°, β = 102.21°, γ = 89.83°
Atoms (fractional coordinates):
1 Zn 0.135 0.865 0.750
2 Zn 0.200 0.484 0.925
3 Zn 0.484 0.200 0.425
4 Zn 0.516 0.800 0.575
5 Zn 0.800 0.516 0.075
6 Zn 0.865 0.135 0.250
7 Ni 0.000 0.000 0.000
8 Ni 0.000 0.000 0.500
9 Ni 0.000 0.500 0.500
10 Ni 0.166 0.674 0.337
11 Ni 0.326 0.834 0.163
12 Ni 0.500 0.000 0.000
13 Ni 0.674 0.166 0.837
14 Ni 0.834 0.326 0.663
15 Sb 0.323 0.329 0.163
16 Sb 0.329 0.323 0.663
17 Sb 0.671 0.677 0.337
18 Sb 0.677 0.671 0.837
19 O 0.093 0.102 0.666
20 O 0.094 0.553 0.663
21 O 0.102 0.093 0.166
22 O 0.109 0.577 0.173
23 O 0.217 0.747 0.492
24 O 0.248 0.254 0.509
25 O 0.253 0.783 0.008
26 O 0.254 0.248 0.009
27 O 0.422 0.431 0.325
28 O 0.423 0.891 0.327
29 O 0.431 0.422 0.825
30 O 0.447 0.906 0.837
31 O 0.553 0.094 0.163
32 O 0.569 0.578 0.175
33 O 0.577 0.109 0.673
34 O 0.578 0.569 0.675
35 O 0.746 0.752 0.991
36 O 0.747 0.217 0.992
37 O 0.752 0.746 0.491
38 O 0.783 0.253 0.508
39 O 0.891 0.423 0.827
40 O 0.898 0.907 0.834
41 O 0.906 0.447 0.337
42 O 0.907 0.898 0.334